1.
The following is a calculated PXRD pattern of UNbO5. It was derived from a cell relaxed with PBE, using Cu Kα (weighted mean of Kα1 and Kα2).

Structural model:
```
data_UNbO5
_chemical_formula_sum 'U2 Nb2 O10'
_cell_length_a 4.1380
_cell_length_b 6.5152
_cell_length_c 7.5373
_cell_angle_alpha 90.00
_cell_angle_beta 90.00
_cell_angle_gamma 90.00
_symmetry_space_group_name_H-M 'P 2 2 21'
_symmetry_Int_Tables_number 17
_symmetry_space_group_name_Hall 'P 2c 2'
loop_
_atom_site_label
_atom_site_type_symbol
_atom_site_fract_x
_atom_site_fract_y
_atom_site_fract_z
_atom_site_occupancy
U1 U 0.0000 0.0430 0.2500 1
Nb1 Nb 0.0810 0.5000 0.0000 1
O1 O 0.0000 0.4106 0.2500 1
O2 O 0.0106 0.1940 0.9533 1
O3 O 0.4853 0.5000 0.5000 1
O4 O 0.5000 0.0494 0.2500 1
```

The 10 most intense peaks (2θ = 5–70°), sorted by position:
2θ/deg, d_spacing, I/Imax, (hkl)
13.6, 6.515, 21, 0 1 0
21.5, 4.138, 64, 1 0 0
25.5, 3.493, 13, 1 1 0
27.4, 3.261, 100, 0 1 2
35.0, 2.561, 61, 1 1 2
43.8, 2.069, 12, 2 0 0
48.3, 1.883, 23, 0 0 4
52.4, 1.747, 25, 2 1 2
53.5, 1.714, 22, 1 0 4
67.2, 1.393, 12, 2 0 4

2.
The following is a calculated PXRD pattern of Dy3Ho8Pu. It was derived from a cell relaxed with PBE, using Cu Kα (weighted mean of Kα1 and Kα2).

Structural model:
```
data_Dy3Ho8Pu
_chemical_formula_sum 'Dy6 Ho16 Pu2'
_cell_length_a 8.5815
_cell_length_b 8.5815
_cell_length_c 11.3050
_cell_angle_alpha 90.00
_cell_angle_beta 90.00
_cell_angle_gamma 90.00
_symmetry_space_group_name_H-M 'I -4 2 m'
_symmetry_Int_Tables_number 121
_symmetry_space_group_name_Hall 'I -4 2'
loop_
_atom_site_label
_atom_site_type_symbol
_atom_site_fract_x
_atom_site_fract_y
_atom_site_fract_z
_atom_site_occupancy
Dy1 Dy 0.0000 0.0000 0.0000 1
Dy2 Dy 0.0000 0.5000 0.2500 1
Ho1 Ho 0.1266 0.1266 0.7326 1
Ho2 Ho 0.2310 0.2310 0.4675 1
Pu1 Pu 0.0000 0.0000 0.5000 1
```

The 10 most intense peaks (2θ = 5–70°), sorted by position:
2θ/deg, d_spacing, I/Imax, (hkl)
14.6, 6.068, 33, 1 1 0
21.5, 4.136, 35, 1 1 2
24.5, 3.634, 47, 2 1 1
29.4, 3.034, 71, 2 2 0
31.7, 2.826, 51, 0 0 4
33.3, 2.689, 32, 2 1 3
36.7, 2.446, 100, 3 1 2
43.8, 2.068, 38, 2 2 4
45.2, 2.006, 38, 4 0 2
59.8, 1.548, 33, 3 1 6